[1]
The following is a simulated PXRD pattern of CdIn4TeAs4. It was derived from the PBE geometry in Alexandria, using CuKα.
Neutral-atom scattering factors, no anomalous dispersion.

The 10 most intense peaks (2θ from 10° to 90°), in order of rising 2θ:
2θ = 26.47°, intensity 4; 2θ = 30.66°, intensity 100; 2θ = 43.91°, intensity 72; 2θ = 54.50°, intensity 25; 2θ = 63.76°, intensity 8; 2θ = 72.38°, intensity 11; 2θ = 72.44°, intensity 10; 2θ = 72.60°, intensity 9; 2θ = 80.66°, intensity 15; 2θ = 80.82°, intensity 7

Structure:
```
data_CdIn4TeAs4
_chemical_formula_sum 'Cd2 In8 Te2 As8'
_cell_length_a 4.129
_cell_length_b 4.129
_cell_length_c 29.101
_cell_angle_alpha 90.00
_cell_angle_beta 90.00
_cell_angle_gamma 90.00
_symmetry_space_group_name_H-M 'I 4/m m m'
_symmetry_Int_Tables_number 139
_symmetry_space_group_name_Hall '-I 4 2'
loop_
_atom_site_label
_atom_site_type_symbol
_atom_site_fract_x
_atom_site_fract_y
_atom_site_fract_z
Cd1 Cd 0.000 0.000 0.000
In1 In 0.000 0.000 0.199
In2 In 0.000 0.000 0.393
Te1 Te 0.000 0.000 0.500
As1 As 0.000 0.000 0.102
As2 As 0.000 0.000 0.296
```

---

[2]
The following is a simulated PXRD pattern of CdIn3Te4As. It was derived from the PBE geometry in Alexandria, using CuKα.
Neutral-atom scattering factors, no anomalous dispersion.

The 10 most intense peaks (2θ from 10° to 90°), in order of rising 2θ:
2θ = 24.28°, intensity 36; 2θ = 24.40°, intensity 100; 2θ = 40.19°, intensity 35; 2θ = 40.32°, intensity 33; 2θ = 40.46°, intensity 34; 2θ = 47.55°, intensity 15; 2θ = 47.67°, intensity 14; 2θ = 47.76°, intensity 14; 2θ = 47.90°, intensity 9; 2θ = 64.08°, intensity 7

Structure:
```
data_CdIn3Te4As
_chemical_formula_sum 'Cd1 In3 Te4 As1'
_cell_length_a 6.325
_cell_length_b 7.713
_cell_length_c 7.767
_cell_angle_alpha 80.67
_cell_angle_beta 66.19
_cell_angle_gamma 65.91
_symmetry_space_group_name_H-M 'P 1'
_symmetry_Int_Tables_number 1
_symmetry_space_group_name_Hall 'P 1'
loop_
_atom_site_label
_atom_site_type_symbol
_atom_site_fract_x
_atom_site_fract_y
_atom_site_fract_z
Cd1 Cd 0.000 0.000 0.000
In1 In 0.214 0.390 0.200
In2 In 0.396 0.813 0.395
In3 In 0.597 0.197 0.589
Te1 Te 0.120 0.332 0.889
Te2 Te 0.401 0.687 0.070
Te3 Te 0.756 0.509 0.525
Te4 Te 0.935 0.871 0.703
As1 As 0.559 0.097 0.293
```

---

[3]
The following is a simulated PXRD pattern of K3Cd6As5. It was derived from the PBE geometry in Alexandria, using CuKα.
Neutral-atom scattering factors, no anomalous dispersion.

The 10 most intense peaks (2θ from 10° to 90°), in order of rising 2θ:
2θ = 15.07°, intensity 65; 2θ = 27.96°, intensity 16; 2θ = 29.63°, intensity 20; 2θ = 30.23°, intensity 19; 2θ = 31.40°, intensity 100; 2θ = 38.15°, intensity 25; 2θ = 38.33°, intensity 18; 2θ = 40.05°, intensity 37; 2θ = 41.37°, intensity 63; 2θ = 56.50°, intensity 17

Structure:
```
data_K3Cd6As5
_chemical_formula_sum 'K6 Cd12 As10'
_cell_length_a 4.503
_cell_length_b 14.152
_cell_length_c 11.759
_cell_angle_alpha 90.00
_cell_angle_beta 90.00
_cell_angle_gamma 90.00
_symmetry_space_group_name_H-M 'P m m n'
_symmetry_Int_Tables_number 59
loop_
_symmetry_equiv_pos_as_xyz
'x,y,z'
'-x,-y,-z'
'-x+1/2,-y+1/2,z'
'x+1/2,y+1/2,-z'
'x+1/2,-y,-z'
'-x+1/2,y,z'
'-x,y+1/2,-z'
'x,-y+1/2,z'
loop_
_atom_site_label
_atom_site_type_symbol
_atom_site_fract_x
_atom_site_fract_y
_atom_site_fract_z
K1 K 0.250 0.100 0.244
K2 K 0.250 0.750 0.256
Cd1 Cd 0.250 0.053 0.615
Cd2 Cd 0.250 0.250 0.483
Cd3 Cd 0.250 0.250 0.980
Cd4 Cd 0.250 0.583 0.011
As1 As 0.250 0.076 0.851
As2 As 0.250 0.620 0.508
As3 As 0.250 0.750 0.884
```

---

[4]
The following is a simulated PXRD pattern of K5Cd4As4. It was derived from the PBE geometry in Alexandria, using CuKα.
Neutral-atom scattering factors, no anomalous dispersion.

The 10 most intense peaks (2θ from 10° to 90°), in order of rising 2θ:
2θ = 30.44°, intensity 15; 2θ = 31.56°, intensity 100; 2θ = 34.46°, intensity 19; 2θ = 34.84°, intensity 27; 2θ = 39.70°, intensity 41; 2θ = 39.93°, intensity 22; 2θ = 41.20°, intensity 14; 2θ = 49.05°, intensity 13; 2θ = 54.02°, intensity 14; 2θ = 54.80°, intensity 15

Structure:
```
data_K5Cd4As4
_chemical_formula_sum 'K10 Cd8 As8'
_cell_length_a 13.132
_cell_length_b 13.132
_cell_length_c 4.515
_cell_angle_alpha 90.00
_cell_angle_beta 90.00
_cell_angle_gamma 90.00
_symmetry_space_group_name_H-M 'I 4/m'
_symmetry_Int_Tables_number 87
_symmetry_space_group_name_Hall '-I 4'
loop_
_atom_site_label
_atom_site_type_symbol
_atom_site_fract_x
_atom_site_fract_y
_atom_site_fract_z
K1 K 0.000 0.000 0.000
K2 K 0.138 0.795 0.500
Cd1 Cd 0.081 0.391 0.500
As1 As 0.045 0.275 0.000
```

---

[5]
The following is a simulated PXRD pattern of K2Cd3SnAs4. It was derived from the PBE geometry in Alexandria, using CuKα.
Neutral-atom scattering factors, no anomalous dispersion.

The 10 most intense peaks (2θ from 10° to 90°), in order of rising 2θ:
2θ = 10.68°, intensity 88; 2θ = 22.84°, intensity 55; 2θ = 25.26°, intensity 55; 2θ = 31.54°, intensity 83; 2θ = 32.42°, intensity 25; 2θ = 40.03°, intensity 100; 2θ = 40.16°, intensity 69; 2θ = 52.44°, intensity 23; 2θ = 72.74°, intensity 16; 2θ = 72.82°, intensity 16

Structure:
```
data_K2Cd3SnAs4
_chemical_formula_sum 'K4 Cd6 Sn2 As8'
_cell_length_a 18.274
_cell_length_b 4.504
_cell_length_c 7.771
_cell_angle_alpha 90.00
_cell_angle_beta 114.96
_cell_angle_gamma 90.00
_symmetry_space_group_name_H-M 'C 1 m 1'
_symmetry_Int_Tables_number 8
_symmetry_space_group_name_Hall 'C -2y'
loop_
_atom_site_label
_atom_site_type_symbol
_atom_site_fract_x
_atom_site_fract_y
_atom_site_fract_z
K1 K 0.000 0.000 0.000
K2 K 0.006 0.500 0.495
Cd1 Cd 0.206 0.500 0.380
Cd2 Cd 0.328 0.000 0.639
Cd3 Cd 0.329 0.500 0.171
Sn1 Sn 0.194 0.000 0.845
As1 As 0.141 0.000 0.466
As2 As 0.143 0.500 0.974
As3 As 0.356 0.000 0.013
As4 As 0.379 0.500 0.542
```

---

[6]
The following is a simulated PXRD pattern of LaCd3As3. It was derived from the PBE geometry in Alexandria, using CuKα.
Neutral-atom scattering factors, no anomalous dispersion.

The 10 most intense peaks (2θ from 10° to 90°), in order of rising 2θ:
2θ = 22.89°, intensity 22; 2θ = 24.34°, intensity 60; 2θ = 28.30°, intensity 49; 2θ = 30.95°, intensity 65; 2θ = 33.17°, intensity 26; 2θ = 33.94°, intensity 64; 2θ = 40.20°, intensity 100; 2θ = 44.35°, intensity 22; 2θ = 53.07°, intensity 32; 2θ = 83.57°, intensity 16

Structure:
```
data_LaCd3As3
_chemical_formula_sum 'La4 Cd12 As12'
_cell_length_a 21.607
_cell_length_b 7.780
_cell_length_c 4.481
_cell_angle_alpha 90.00
_cell_angle_beta 90.00
_cell_angle_gamma 90.00
_symmetry_space_group_name_H-M 'A m a 2'
_symmetry_Int_Tables_number 40
_symmetry_space_group_name_Hall 'A 2 -2a'
loop_
_atom_site_label
_atom_site_type_symbol
_atom_site_fract_x
_atom_site_fract_y
_atom_site_fract_z
La1 La 0.000 0.000 0.000
Cd1 Cd 0.126 0.167 0.496
Cd2 Cd 0.250 0.312 0.090
As1 As 0.078 0.334 0.999
As2 As 0.250 0.144 0.595
```

---

[7]
The following is a simulated PXRD pattern of Li2Cd2AsO6. It was derived from the PBE geometry in Alexandria, using CuKα.
Neutral-atom scattering factors, no anomalous dispersion.

The 10 most intense peaks (2θ from 10° to 90°), in order of rising 2θ:
2θ = 19.23°, intensity 94; 2θ = 30.61°, intensity 26; 2θ = 31.85°, intensity 100; 2θ = 35.86°, intensity 82; 2θ = 39.02°, intensity 29; 2θ = 44.76°, intensity 31; 2θ = 48.71°, intensity 32; 2θ = 56.75°, intensity 21; 2θ = 59.39°, intensity 45; 2θ = 66.56°, intensity 33

Structure:
```
data_Li2Cd2AsO6
_chemical_formula_sum 'Li6 Cd6 As3 O18'
_cell_length_a 5.6188
_cell_length_b 5.6188
_cell_length_c 14.6030
_cell_angle_alpha 90.00
_cell_angle_beta 90.00
_cell_angle_gamma 120.00
_symmetry_space_group_name_H-M 'R -3 m'
_symmetry_Int_Tables_number 166
_symmetry_space_group_name_Hall '-R 3 2"'
loop_
_atom_site_label
_atom_site_type_symbol
_atom_site_fract_x
_atom_site_fract_y
_atom_site_fract_z
Li1 Li 0.0000 0.0000 0.0876
Cd1 Cd 0.0000 0.0000 0.2944
As1 As 0.0000 0.0000 0.5000
O1 O 0.0339 0.5170 0.2447
```

---

[8]
The following is a simulated PXRD pattern of Li2Cd2AsPd4. It was derived from the PBE geometry in Alexandria, using CuKα.
Neutral-atom scattering factors, no anomalous dispersion.

The 10 most intense peaks (2θ from 10° to 90°), in order of rising 2θ:
2θ = 21.97°, intensity 21; 2θ = 30.13°, intensity 48; 2θ = 36.64°, intensity 100; 2θ = 41.40°, intensity 55; 2θ = 44.80°, intensity 23; 2θ = 52.05°, intensity 16; 2θ = 59.99°, intensity 16; 2θ = 62.64°, intensity 31; 2θ = 72.39°, intensity 21; 2θ = 77.90°, intensity 15

Structure:
```
data_Li2Cd2AsPd4
_chemical_formula_sum 'Li4 Cd4 As2 Pd8'
_cell_length_a 6.168
_cell_length_b 6.168
_cell_length_c 8.091
_cell_angle_alpha 90.00
_cell_angle_beta 90.00
_cell_angle_gamma 90.00
_symmetry_space_group_name_H-M 'I 4/m m m'
_symmetry_Int_Tables_number 139
_symmetry_space_group_name_Hall '-I 4 2'
loop_
_atom_site_label
_atom_site_type_symbol
_atom_site_fract_x
_atom_site_fract_y
_atom_site_fract_z
Li1 Li 0.000 0.000 0.204
Cd1 Cd 0.000 0.500 0.250
As1 As 0.000 0.000 0.500
Pd1 Pd 0.229 0.229 0.000
```